Diffraction record for TbAl4GaIr. The powder diffraction line list is computed, not measured: it uses a DFT-relaxed cell (GGA-PBE, OQMD) and λ = 1.5418 Å (Cu Kα).
No peak broadening, texture or thermal motion is included.

Largest 8 diffraction maxima, most intense first, 5 to 70 degrees two-theta:
- d 2.287, 2θ = 39.4°, intensity 100
- d 4.290, 2θ = 20.7°, intensity 76
- d 2.703, 2θ = 33.1°, intensity 47
- d 2.145, 2θ = 42.1°, intensity 46
- d 3.033, 2θ = 29.4°, intensity 41
- d 3.481, 2θ = 25.6°, intensity 35
- d 1.680, 2θ = 54.6°, intensity 23
- d 1.826, 2θ = 49.9°, intensity 23

Cell and atoms:
```
7
Lattice="4.290 0.000 0.000 0.000 4.290 0.000 0.000 0.000 6.962" Properties=species:S:1:pos:R:3 pbc="T T T"
Tb 0.000 0.000 0.000
Al 0.000 2.145 2.131
Al 0.000 2.145 4.831
Al 2.145 0.000 2.131
Al 2.145 0.000 4.831
Ga 2.145 2.145 0.000
Ir 0.000 0.000 3.481
```



Diffraction record for LiNb3Bi4Ir4. The powder diffraction line list is computed, not measured: it uses a DFT-relaxed cell (GGA-PBE, OQMD) and λ = 1.5418 Å (Cu Kα).
No peak broadening, texture or thermal motion is included.

Largest 8 diffraction maxima, most intense first, 5 to 70 degrees two-theta:
- d 2.244, 2θ = 40.2°, intensity 100
- d 3.670, 2θ = 24.2°, intensity 93
- d 2.254, 2θ = 40.0°, intensity 53
- d 1.921, 2θ = 47.3°, intensity 30
- d 1.594, 2θ = 57.9°, intensity 17
- d 1.909, 2θ = 47.6°, intensity 14
- d 1.457, 2θ = 63.9°, intensity 11
- d 2.361, 2θ = 38.1°, intensity 8

Cell and atoms:
```
12
Lattice="-3.188 3.188 6.321 3.188 -3.188 6.321 3.188 3.188 -6.321" Properties=species:S:1:pos:R:3 pbc="T T T"
Li 0.000 0.000 0.000
Nb 3.188 0.000 3.161
Nb 0.000 0.000 6.321
Nb 0.000 3.188 3.161
Bi 3.188 0.000 0.000
Bi 0.000 0.000 2.921
Bi 0.000 3.188 0.000
Bi 0.000 0.000 9.722
Ir 1.469 -1.469 4.659
Ir 1.719 1.719 1.662
Ir -1.469 1.469 4.659
Ir 1.469 1.469 7.983
```



Diffraction record for K2TeWN4. The powder diffraction line list is computed, not measured: it uses a DFT-relaxed cell (GGA-PBE, OQMD) and λ = 1.5418 Å (Cu Kα).
No peak broadening, texture or thermal motion is included.

Largest 8 diffraction maxima, most intense first, 5 to 70 degrees two-theta:
- d 2.984, 2θ = 29.9°, intensity 100
- d 4.878, 2θ = 18.2°, intensity 72
- d 2.994, 2θ = 29.8°, intensity 42
- d 1.727, 2θ = 53.0°, intensity 38
- d 1.721, 2θ = 53.2°, intensity 22
- d 2.117, 2θ = 42.7°, intensity 19
- d 2.552, 2θ = 35.2°, intensity 19
- d 1.936, 2θ = 46.9°, intensity 13

Cell and atoms:
```
16
Lattice="5.988 0.000 0.000 0.000 5.988 0.000 0.000 0.000 8.409" Properties=species:S:1:pos:R:3 pbc="T T T"
K 0.000 0.000 0.000
K 0.000 2.994 2.102
K 2.994 0.000 6.307
K 2.994 2.994 4.205
Te 0.000 2.994 6.307
Te 2.994 0.000 2.102
W 0.000 0.000 4.205
W 2.994 2.994 0.000
N 0.841 1.332 5.245
N 1.332 5.147 3.165
N 1.662 3.835 7.369
N 2.153 1.662 1.040
N 3.835 4.326 1.040
N 4.326 2.153 7.369
N 4.656 0.841 3.165
N 5.147 4.656 5.245
```



Diffraction record for Sm2SiO5. The powder diffraction line list is computed, not measured: it uses a DFT-relaxed cell (GGA-PBE, OQMD) and λ = 1.5418 Å (Cu Kα).
No peak broadening, texture or thermal motion is included.

Largest 8 diffraction maxima, most intense first, 5 to 70 degrees two-theta:
- d 2.962, 2θ = 30.2°, intensity 100
- d 3.940, 2θ = 22.6°, intensity 85
- d 3.061, 2θ = 29.2°, intensity 63
- d 2.586, 2θ = 34.7°, intensity 54
- d 3.160, 2θ = 28.2°, intensity 46
- d 3.586, 2θ = 24.8°, intensity 43
- d 2.990, 2θ = 29.9°, intensity 39
- d 6.192, 2θ = 14.3°, intensity 29

Cell and atoms:
```
32
Lattice="7.300 -3.377 0.000 7.300 3.377 0.000 -5.597 0.000 8.962" Properties=species:S:1:pos:R:3 pbc="T T T"
Sm -2.580 0.932 7.426
Sm 3.735 1.700 4.839
Sm 0.218 -0.932 2.946
Sm 2.470 1.700 8.603
Sm 6.533 -1.700 0.359
Sm 8.785 0.932 6.016
Sm 5.268 -1.700 4.122
Sm 11.583 -0.932 1.535
Si 0.842 0.605 6.127
Si 3.640 -0.605 1.646
Si 5.363 0.605 7.316
Si 8.161 -0.605 2.835
O -0.741 0.892 5.968
O 6.450 2.727 0.893
O 1.742 1.983 6.183
O 5.351 2.727 3.588
O 4.207 0.339 0.419
O 4.463 1.983 7.259
O 2.058 -0.892 1.487
O 1.409 -0.339 4.900
O 4.080 0.154 3.046
O 1.282 -0.154 7.526
O 7.722 0.154 1.435
O 4.923 -0.154 5.916
O 7.594 0.339 4.062
O 6.945 0.892 7.474
O 4.540 -1.983 1.702
O 4.796 -0.339 8.543
O 3.652 -2.727 5.373
O 7.262 -1.983 2.779
O 2.553 -2.727 8.069
O 9.744 -0.892 2.993
```



Diffraction record for KHoO3. The powder diffraction line list is computed, not measured: it uses a DFT-relaxed cell (GGA-PBE, OQMD) and λ = 1.5418 Å (Cu Kα).
No peak broadening, texture or thermal motion is included.

Largest 8 diffraction maxima, most intense first, 5 to 70 degrees two-theta:
- d 3.237, 2θ = 27.6°, intensity 100
- d 5.112, 2θ = 17.3°, intensity 50
- d 4.183, 2θ = 21.2°, intensity 31
- d 2.091, 2θ = 43.3°, intensity 27
- d 1.935, 2θ = 47.0°, intensity 20
- d 2.555, 2θ = 35.1°, intensity 18
- d 1.754, 2θ = 52.1°, intensity 15
- d 2.564, 2θ = 35.0°, intensity 14

Cell and atoms:
```
20
Lattice="5.904 0.000 0.000 0.000 10.216 0.000 0.000 0.000 5.929" Properties=species:S:1:pos:R:3 pbc="T T T"
K 0.000 0.000 0.000
K 0.000 5.108 0.000
K 2.952 0.000 2.964
K 2.952 5.108 2.964
Ho 0.105 2.554 2.730
Ho 2.847 7.662 5.694
Ho 3.057 2.554 0.234
Ho 5.799 7.662 3.199
O 1.306 7.662 1.430
O 1.411 6.534 4.392
O 1.411 8.790 4.392
O 1.541 1.426 1.427
O 1.541 3.682 1.427
O 1.646 2.554 4.394
O 4.258 7.662 1.534
O 4.363 6.534 4.501
O 4.363 8.790 4.501
O 4.493 1.426 1.537
O 4.493 3.682 1.537
O 4.598 2.554 4.499
```



Diffraction record for TaP4S6Cl5. The powder diffraction line list is computed, not measured: it uses a DFT-relaxed cell (GGA-PBE, OQMD) and λ = 1.5418 Å (Cu Kα).
No peak broadening, texture or thermal motion is included.

Largest 8 diffraction maxima, most intense first, 5 to 70 degrees two-theta:
- d 5.540, 2θ = 16.0°, intensity 100
- d 5.591, 2θ = 15.9°, intensity 45
- d 5.285, 2θ = 16.8°, intensity 44
- d 6.146, 2θ = 14.4°, intensity 37
- d 4.555, 2θ = 19.5°, intensity 33
- d 2.751, 2θ = 32.6°, intensity 27
- d 4.272, 2θ = 20.8°, intensity 26
- d 3.201, 2θ = 27.9°, intensity 25

Cell and atoms:
```
32
Lattice="6.898 0.000 0.000 -2.569 10.870 0.000 -1.175 -2.691 11.269" Properties=species:S:1:pos:R:3 pbc="T T T"
Ta -0.733 2.463 1.652
Ta 3.887 5.717 9.616
P 0.544 0.376 6.167
P 0.395 7.376 5.689
P 0.564 8.827 2.604
P 1.366 5.472 3.233
P 1.788 2.708 8.036
P 2.590 -0.647 8.665
P 2.759 0.804 5.579
P 2.610 7.804 5.102
S -0.040 2.159 7.190
S 0.772 -1.088 7.682
S -0.675 8.610 4.312
S 0.087 5.418 4.891
S 0.780 6.836 1.766
S 1.595 3.683 2.394
S 1.558 4.497 8.874
S 2.373 1.343 9.503
S 3.066 2.761 6.378
S 3.828 -0.430 6.956
S 2.382 9.268 3.586
S 3.194 6.020 4.079
Cl -2.431 5.779 7.327
Cl -2.004 3.632 9.750
Cl -1.088 0.011 10.752
Cl 0.728 0.662 2.019
Cl -1.189 6.960 10.245
Cl 4.343 1.220 1.024
Cl 2.426 7.518 9.250
Cl 4.241 8.168 0.517
Cl 5.157 4.547 1.518
Cl 5.585 2.400 3.942
```



Diffraction record for NaHfCu3Te4. The powder diffraction line list is computed, not measured: it uses a DFT-relaxed cell (GGA-PBE, OQMD) and λ = 1.5418 Å (Cu Kα).
No peak broadening, texture or thermal motion is included.

Largest 8 diffraction maxima, most intense first, 5 to 70 degrees two-theta:
- d 9.808, 2θ = 9.0°, intensity 100
- d 3.342, 2θ = 26.7°, intensity 95
- d 6.294, 2θ = 14.1°, intensity 73
- d 2.172, 2θ = 41.6°, intensity 65
- d 2.206, 2θ = 40.9°, intensity 50
- d 3.361, 2θ = 26.5°, intensity 41
- d 2.052, 2θ = 44.1°, intensity 33
- d 1.977, 2θ = 45.9°, intensity 29

Cell and atoms:
```
18
Lattice="6.097 0.000 0.000 0.000 8.207 0.000 -2.811 0.000 9.808" Properties=species:S:1:pos:R:3 pbc="T T T"
Na 0.273 2.052 4.081
Na 3.012 6.155 5.727
Hf 1.480 6.155 2.058
Hf 1.805 2.052 7.750
Cu -1.296 2.052 7.968
Cu 1.742 0.090 0.013
Cu 1.742 4.014 0.013
Cu 1.543 4.193 9.795
Cu 1.543 8.117 9.795
Cu 4.581 6.155 1.840
Te -0.100 2.052 0.367
Te -0.179 6.155 4.174
Te 0.198 4.255 7.532
Te 0.198 8.056 7.532
Te 3.088 0.151 2.276
Te 3.088 3.952 2.276
Te 3.465 2.052 5.634
Te 3.386 6.155 9.441
```



Diffraction record for SrHoNi2Ge4. The powder diffraction line list is computed, not measured: it uses a DFT-relaxed cell (GGA-PBE, OQMD) and λ = 1.5418 Å (Cu Kα).
No peak broadening, texture or thermal motion is included.

Largest 8 diffraction maxima, most intense first, 5 to 70 degrees two-theta:
- d 2.635, 2θ = 34.0°, intensity 100
- d 2.660, 2θ = 33.7°, intensity 37
- d 2.115, 2θ = 42.8°, intensity 32
- d 2.354, 2θ = 38.2°, intensity 32
- d 2.086, 2θ = 43.4°, intensity 29
- d 8.552, 2θ = 10.3°, intensity 21
- d 2.927, 2θ = 30.5°, intensity 20
- d 1.485, 2θ = 62.5°, intensity 20

Cell and atoms:
```
16
Lattice="4.173 0.000 0.000 0.000 4.230 0.000 0.000 0.000 17.104" Properties=species:S:1:pos:R:3 pbc="T T T"
Sr 0.000 0.000 0.000
Sr 0.000 2.115 8.552
Ho 2.086 0.000 3.736
Ho 2.086 2.115 12.288
Ni 0.000 0.000 13.418
Ni 0.000 2.115 4.866
Ni 2.086 0.000 7.264
Ni 2.086 2.115 15.816
Ge 0.000 0.000 6.064
Ge 0.000 0.000 11.144
Ge 0.000 2.115 2.591
Ge 0.000 2.115 14.616
Ge 2.086 0.000 9.681
Ge 2.086 0.000 14.602
Ge 2.086 2.115 1.129
Ge 2.086 2.115 6.050
```



Diffraction record for GdNb6Ge4. The powder diffraction line list is computed, not measured: it uses a DFT-relaxed cell (GGA-PBE, OQMD) and λ = 1.5418 Å (Cu Kα).
No peak broadening, texture or thermal motion is included.

Largest 8 diffraction maxima, most intense first, 5 to 70 degrees two-theta:
- d 2.430, 2θ = 37.0°, intensity 100
- d 2.232, 2θ = 40.4°, intensity 85
- d 2.632, 2θ = 34.1°, intensity 37
- d 2.134, 2θ = 42.4°, intensity 34
- d 1.411, 2θ = 66.3°, intensity 28
- d 1.630, 2θ = 56.4°, intensity 18
- d 1.823, 2θ = 50.0°, intensity 16
- d 2.821, 2θ = 31.7°, intensity 16

Cell and atoms:
```
11
Lattice="2.821 1.629 7.299 -2.821 1.629 7.299 0.000 -3.258 7.299" Properties=species:S:1:pos:R:3 pbc="T T T"
Gd 0.000 0.000 0.000
Nb -1.387 -0.801 9.570
Nb 0.000 -1.601 12.326
Nb -1.387 0.801 12.326
Nb 1.387 -0.801 9.570
Nb 0.000 1.601 9.570
Nb 1.387 0.801 12.326
Ge 0.000 0.000 2.823
Ge 0.000 0.000 7.286
Ge 0.000 0.000 14.610
Ge 0.000 0.000 19.073
```



Diffraction record for Pr2ZnSi2Au. The powder diffraction line list is computed, not measured: it uses a DFT-relaxed cell (GGA-PBE, OQMD) and λ = 1.5418 Å (Cu Kα).
No peak broadening, texture or thermal motion is included.

Largest 8 diffraction maxima, most intense first, 5 to 70 degrees two-theta:
- d 2.794, 2θ = 32.0°, intensity 100
- d 2.134, 2θ = 42.4°, intensity 54
- d 3.391, 2θ = 26.3°, intensity 28
- d 1.509, 2θ = 61.4°, intensity 27
- d 1.696, 2θ = 54.1°, intensity 23
- d 8.538, 2θ = 10.4°, intensity 16
- d 3.696, 2θ = 24.1°, intensity 13
- d 2.255, 2θ = 40.0°, intensity 10

Cell and atoms:
```
6
Lattice="4.267 0.000 0.000 -2.134 3.696 0.000 0.000 0.000 8.538" Properties=species:S:1:pos:R:3 pbc="T T T"
Pr 0.000 0.000 2.122
Pr 0.000 0.000 6.415
Zn 0.000 2.464 4.269
Si 0.000 2.464 0.000
Si 2.134 1.232 4.269
Au 2.134 1.232 0.000
```



Diffraction record for Lu3Pt. The powder diffraction line list is computed, not measured: it uses a DFT-relaxed cell (GGA-PBE, OQMD) and λ = 1.5418 Å (Cu Kα).
No peak broadening, texture or thermal motion is included.

Largest 8 diffraction maxima, most intense first, 5 to 70 degrees two-theta:
- d 2.737, 2θ = 32.7°, intensity 100
- d 2.777, 2θ = 32.2°, intensity 50
- d 2.540, 2θ = 35.3°, intensity 38
- d 2.551, 2θ = 35.2°, intensity 38
- d 2.588, 2θ = 34.7°, intensity 33
- d 2.296, 2θ = 39.2°, intensity 29
- d 2.898, 2θ = 30.9°, intensity 26
- d 2.427, 2θ = 37.0°, intensity 24

Cell and atoms:
```
16
Lattice="6.994 0.000 0.000 0.000 9.133 0.000 0.000 0.000 6.283" Properties=species:S:1:pos:R:3 pbc="T T T"
Lu 0.174 2.283 0.764
Lu 1.277 0.538 4.267
Lu 1.277 4.029 4.267
Lu 2.220 5.105 1.125
Lu 2.220 8.595 1.125
Lu 3.323 6.850 3.906
Lu 3.671 2.283 2.377
Lu 4.774 0.538 5.158
Lu 4.774 4.029 5.158
Lu 5.717 5.105 2.016
Lu 5.717 8.595 2.016
Lu 6.820 6.850 5.519
Pt 0.760 6.850 2.869
Pt 2.737 2.283 6.011
Pt 4.257 6.850 0.272
Pt 6.234 2.283 3.414
```